(1)
Calculated powder diffraction line list of Sr4Ni3O9 for Cu Ka, from a PBE+U-relaxed structure.
Intensities are scaled so that the largest is 100.

The 12 most intense peaks (15° ≤ 2θ ≤ 90°), low angle first:
Position (°2θ)	d_spacing	intensity	index
29.50	3.028	80	1 1 2
32.50	2.755	100	3 0 0
40.88	2.207	12	2 0 3
44.46	2.038	53	2 2 2
45.26	2.003	19	1 2 3
46.36	1.958	9	0 0 4
56.15	1.638	18	4 1 2
57.76	1.596	14	0 3 4
57.98	1.591	16	3 3 0
60.33	1.534	13	2 3 3
68.07	1.377	16	6 0 0
75.48	1.259	8	1 1 6

Crystal structure
```
data_Sr4Ni3O9
_cell_length_a 9.5432
_cell_length_b 9.5432
_cell_length_c 7.8338
_cell_angle_alpha 90.00
_cell_angle_beta 90.00
_cell_angle_gamma 120.00
_symmetry_space_group_name_H-M 'P 3 2 1'
_symmetry_Int_Tables_number 150
loop_
_symmetry_equiv_pos_as_xyz
'x,y,z'
'-y,x-y,z'
'-x+y,-x,z'
'y,x,-z'
'x-y,-y,-z'
'-x,-x+y,-z'
loop_
_atom_site_label
_atom_site_fract_x
_atom_site_fract_y
_atom_site_fract_z
Sr1 0.0000 0.3321 0.0000
Sr2 0.0000 0.3593 0.5000
Sr3 0.0242 0.6914 0.7507
Ni1 0.0000 0.0000 0.1594
Ni2 0.0000 0.0000 0.5000
Ni3 0.3333 0.6667 0.2600
Ni4 0.3333 0.6667 0.6003
Ni5 0.3333 0.6667 0.9212
O1 0.0000 0.8499 0.0000
O2 0.0108 0.1639 0.3008
O3 0.1732 0.5195 0.7589
O4 0.1811 0.6722 0.0615
O5 0.1841 0.6833 0.4587
```



(2)
Calculated powder diffraction line list of NaMgMnO2 for Cu Ka, from a PBE+U-relaxed structure.
Intensities are scaled so that the largest is 100.

The 12 most intense peaks (15° ≤ 2θ ≤ 90°), low angle first:
Position (°2θ)	d_spacing	intensity	index
32.79	2.731	60	0 0 3
34.51	2.599	49	1 -1 1
35.52	2.528	40	0 1 1
35.86	2.504	36	1 0 -2
36.38	2.470	75	1 0 1
36.55	2.458	85	0 1 -2
38.11	2.361	100	-1 1 2
42.90	2.108	65	1 0 2
43.20	2.094	56	0 1 -3
45.28	2.003	34	-1 1 3
56.96	1.617	33	1 1 -1
57.11	1.613	57	1 -2 0

Crystal structure
```
data_NaMgMnO2
_cell_length_a 3.2203
_cell_length_b 3.2308
_cell_length_c 8.3460
_cell_angle_alpha 92.82
_cell_angle_beta 97.77
_cell_angle_gamma 119.84
_symmetry_space_group_name_H-M 'P 1'
_symmetry_Int_Tables_number 1
loop_
_symmetry_equiv_pos_as_xyz
'x,y,z'
loop_
_atom_site_label
_atom_site_fract_x
_atom_site_fract_y
_atom_site_fract_z
Na1 0.0000 0.0000 0.0000
Mg1 0.9996 0.5603 0.6068
Mn1 0.4978 0.7883 0.3008
O1 0.2756 0.1842 0.5039
O2 0.7640 0.4049 0.1792
```